Theoretical powder XRD pattern
Compound: Cs2RbFeO4
Radiation: Cu Kα
Structure: the GGA+U geometry in Alexandria

Main lines, by angle (10° ≤ 2θ ≤ 90°):
2θ (°)	d/Å	Rel. int.	(hkl)
13.87	6.387	89	0 0 4
18.33	4.840	65	1 1 3
23.06	3.858	53	1 1 5
25.85	3.447	54	0 2 6
28.32	3.151	29	1 3 3
30.41	2.940	100	2 2 0
31.66	2.826	46	1 3 5
33.56	2.671	34	2 2 4
33.74	2.656	24	2 0 6
38.43	2.343	34	0 2 10
44.38	2.041	41	2 0 10
54.76	1.676	25	2 4 10

Structure:
Cell: 6.7970 11.7444 25.5465 Å, 90.00 90.00 90.00°
Space group Fddd (No. 70, origin choice 2)
Unique sites:
Cs 0.1250 0.1250 0.3200 [16 per cell]
Rb 0.1250 0.1250 0.1250 [8 per cell]
Fe 0.1250 0.1250 0.6250 [8 per cell]
O 0.0385 0.2877 0.8404 [32 per cell]